Entry 1:
Computed powder XRD pattern of Pm2Ga7Ag12 for copper Kα, from a DFT-relaxed cell (GGA-PBE, Alexandria).
Neutral-atom scattering factors, no anomalous dispersion.

Cell and atoms:
```
Pm2Ga7Ag12
1.0
10.707 0.000 0.000
-5.354 9.273 0.000
0.000 0.000 4.085
Pm Ga Ag
2 7 12
Direct
0.333 0.667 0.246
0.667 0.333 0.754
0.000 0.000 0.500
0.127 0.419 0.745
0.292 0.873 0.745
0.419 0.292 0.255
0.581 0.708 0.745
0.708 0.127 0.255
0.873 0.581 0.255
0.053 0.620 0.751
0.116 0.855 0.238
0.145 0.260 0.238
0.260 0.116 0.762
0.380 0.433 0.751
0.433 0.053 0.249
0.567 0.947 0.751
0.620 0.567 0.249
0.740 0.884 0.238
0.855 0.740 0.762
0.884 0.145 0.762
0.947 0.380 0.249
```

Main lines, by angle (15° ≤ 2θ ≤ 90°):
- 2θ 33.7, d = 2.660 Å, intensity 100.0
- 2θ 36.5, d = 2.465 Å, intensity 12.0
- 2θ 41.5, d = 2.176 Å, intensity 18.6
- 2θ 42.5, d = 2.127 Å, intensity 14.2
- 2θ 44.4, d = 2.042 Å, intensity 18.1
- 2θ 44.8, d = 2.023 Å, intensity 22.9
- 2θ 64.9, d = 1.437 Å, intensity 11.7
- 2θ 74.8, d = 1.269 Å, intensity 9.0

=====

Entry 2:
Computed powder XRD pattern of PmGaAg3 for copper Kα, from a DFT-relaxed cell (GGA-PBE, Alexandria).
Neutral-atom scattering factors, no anomalous dispersion.

Cell and atoms:
```
PmGaAg3
1.0
0.000 3.929 4.619
3.020 0.000 4.619
3.020 3.929 0.000
Pm Ga Ag
1 1 3
Direct
0.000 0.000 0.000
0.352 0.352 0.648
0.260 0.260 0.240
0.625 0.625 0.375
0.760 0.760 0.740
```

Main lines, by angle (15° ≤ 2θ ≤ 90°):
- 2θ 29.9, d = 2.993 Å, intensity 76.2
- 2θ 34.6, d = 2.590 Å, intensity 72.5
- 2θ 35.5, d = 2.528 Å, intensity 47.7
- 2θ 37.6, d = 2.394 Å, intensity 100.0
- 2θ 46.2, d = 1.965 Å, intensity 27.3
- 2θ 48.0, d = 1.895 Å, intensity 28.4
- 2θ 55.8, d = 1.648 Å, intensity 19.2
- 2θ 59.6, d = 1.551 Å, intensity 20.3

=====

Entry 3:
Computed powder XRD pattern of Pr3Ga3Ag2 for copper Kα, from a DFT-relaxed cell (GGA-PBE, Alexandria).
Neutral-atom scattering factors, no anomalous dispersion.

Cell and atoms:
```
Pr3Ga3Ag2
1.0
4.628 0.000 0.000
0.000 15.440 0.000
-2.302 0.000 5.426
Pr Ga Ag
6 6 4
Direct
0.104 0.108 0.207
0.104 0.392 0.207
0.379 0.250 0.755
0.621 0.750 0.245
0.896 0.608 0.793
0.896 0.892 0.793
0.336 0.750 0.672
0.396 0.040 0.793
0.396 0.460 0.793
0.604 0.540 0.207
0.604 0.960 0.207
0.664 0.250 0.328
0.197 0.598 0.394
0.197 0.902 0.394
0.803 0.098 0.606
0.803 0.402 0.606
```

Main lines, by angle (15° ≤ 2θ ≤ 90°):
- 2θ 31.3, d = 2.859 Å, intensity 100.0
- 2θ 31.9, d = 2.802 Å, intensity 60.2
- 2θ 33.0, d = 2.713 Å, intensity 24.5
- 2θ 33.5, d = 2.673 Å, intensity 19.2
- 2θ 34.9, d = 2.573 Å, intensity 27.4
- 2θ 36.0, d = 2.495 Å, intensity 20.0
- 2θ 38.9, d = 2.314 Å, intensity 47.9
- 2θ 39.3, d = 2.293 Å, intensity 47.8